This entry pairs a crystal structure of La2Pr4Co with its simulated powder X-ray diffraction pattern. Radiation: Cu Kα (λ = 1.5418 Å). Structure: a GGA-PBE-relaxed structure.
Intensities are scaled so that the largest is 100.

Structural model:
Lattice parameters (Å, degrees): 9.6996 9.6996 9.6996 148.46 148.46 45.21
Atoms (fractional coordinates):
La1 0.1586 0.1586 0.0000
La2 0.8414 0.8414 0.0000
Pr1 0.0000 0.5000 0.5000
Pr2 0.3408 0.3408 0.0000
Pr3 0.5000 0.0000 0.5000
Pr4 0.6592 0.6592 0.0000
Co1 0.5000 0.5000 0.0000

Most intense lines, 10 to 90 degrees two-theta, most intense first:
Position (°2θ), I (rel.)
31.22, 100
25.89, 95
34.01, 94
45.93, 77
29.94, 63
58.36, 37
48.86, 34
59.13, 33
23.87, 33
57.05, 25